No. 1
The following is a theoretical PXRD pattern of Li4Ga2CuAu. It was derived from a DFT-relaxed cell (PBE, OQMD), using copper Kα.
Intensities are scaled so that the largest is 100.

Largest 10 diffraction maxima, low angle first, 5 to 70 degrees two-theta:
d_spacing	I (rel.)
6.094	12
4.304	15
3.515	100
3.044	9
2.723	13
2.487	8
2.153	88
1.836	48
1.522	14
1.397	19

Structure:
abc: 4.304 4.304 6.094
angles: 90.00 90.00 90.00
Positions (direct):
Li  0.000  0.000  0.000
Li  0.000  0.500  0.743
Li  0.500  0.000  0.257
Li  0.500  0.500  0.500
Ga  0.000  0.500  0.268
Ga  0.500  0.000  0.732
Cu  0.000  0.000  0.500
Au  0.500  0.500  0.000

No. 2
The following is a theoretical PXRD pattern of Zr2Ga2CuAu. It was derived from a DFT-relaxed cell (PBE, OQMD), using copper Kα.
Intensities are scaled so that the largest is 100.

Largest 10 diffraction maxima, low angle first, 5 to 70 degrees two-theta:
d_spacing	I (rel.)
6.666	16
3.736	10
3.333	9
3.259	32
2.487	100
2.157	79
1.910	18
1.811	10
1.630	27
1.430	7

Structure:
abc: 4.314 4.314 6.666
angles: 90.00 90.00 120.00
Positions (direct):
Zr  0.000  0.000  0.000
Zr  0.000  0.000  0.486
Ga  0.667  0.333  0.263
Ga  0.667  0.333  0.706
Cu  0.333  0.667  0.207
Au  0.333  0.667  0.785

No. 3
The following is a theoretical PXRD pattern of Gd3Mg3CuAu2. It was derived from a DFT-relaxed cell (PBE, OQMD), using copper Kα.
Intensities are scaled so that the largest is 100.

Largest 10 diffraction maxima, low angle first, 5 to 70 degrees two-theta:
d_spacing	I (rel.)
6.574	42
3.795	37
2.787	100
2.566	73
2.485	22
2.191	31
2.126	22
2.052	19
1.498	18
1.416	19

Structure:
abc: 7.591 7.591 4.105
angles: 90.00 90.00 120.00
Positions (direct):
Gd  0.000  0.589  0.000
Gd  0.411  0.411  0.000
Gd  0.589  0.000  0.000
Mg  0.000  0.239  0.500
Mg  0.239  0.000  0.500
Mg  0.761  0.761  0.500
Cu  0.000  0.000  0.000
Au  0.333  0.667  0.500
Au  0.667  0.333  0.500

No. 4
The following is a theoretical PXRD pattern of Nd2CuGe2Au. It was derived from a DFT-relaxed cell (PBE, OQMD), using copper Kα.
Intensities are scaled so that the largest is 100.

Largest 10 diffraction maxima, low angle first, 5 to 70 degrees two-theta:
d_spacing	I (rel.)
7.699	10
3.847	11
3.441	13
2.721	100
2.221	56
2.135	11
1.924	12
1.721	29
1.455	23
1.360	25

Structure:
abc: 4.442 4.442 7.699
angles: 90.00 90.00 120.00
Positions (direct):
Nd  0.000  0.000  0.000
Nd  0.000  0.000  0.492
Cu  0.333  0.667  0.271
Ge  0.333  0.667  0.709
Ge  0.667  0.333  0.224
Au  0.667  0.333  0.771

No. 5
The following is a theoretical PXRD pattern of Sc2CuGe2Au. It was derived from a DFT-relaxed cell (PBE, OQMD), using copper Kα.
Intensities are scaled so that the largest is 100.

Largest 10 diffraction maxima, low angle first, 5 to 70 degrees two-theta:
d_spacing	I (rel.)
14.160	9
3.538	100
2.170	90
2.161	45
1.855	17
1.844	33
1.541	7
1.528	14
1.408	13
1.403	7

Structure:
abc: 7.527 4.320 14.362
angles: 90.00 99.62 90.00
Positions (direct):
Sc  0.000  0.000  0.000
Sc  0.006  0.500  0.492
Sc  0.237  0.000  0.737
Sc  0.246  0.500  0.242
Sc  0.484  0.000  0.485
Sc  0.499  0.500  0.999
Sc  0.744  0.000  0.237
Sc  0.756  0.500  0.740
Cu  0.060  0.500  0.676
Cu  0.061  0.000  0.183
Cu  0.306  0.500  0.426
Cu  0.558  0.500  0.182
Ge  0.120  0.500  0.860
Ge  0.129  0.000  0.363
Ge  0.359  0.500  0.610
Ge  0.373  0.000  0.124
Ge  0.608  0.500  0.362
Ge  0.621  0.000  0.866
Ge  0.875  0.500  0.125
Ge  0.882  0.000  0.618
Au  0.308  0.000  0.929
Au  0.557  0.000  0.676
Au  0.808  0.000  0.427
Au  0.811  0.500  0.931

No. 6
The following is a theoretical PXRD pattern of Tb2CuGe2Au. It was derived from a DFT-relaxed cell (PBE, OQMD), using copper Kα.
Intensities are scaled so that the largest is 100.

Largest 10 diffraction maxima, low angle first, 5 to 70 degrees two-theta:
d_spacing	I (rel.)
7.291	9
3.803	11
3.372	15
2.632	100
2.195	60
2.048	11
1.823	7
1.686	26
1.644	5
1.402	18

Structure:
abc: 4.391 4.391 7.291
angles: 90.00 90.00 120.00
Positions (direct):
Tb  0.000  0.000  0.000
Tb  0.000  0.000  0.492
Cu  0.333  0.667  0.210
Ge  0.333  0.667  0.790
Ge  0.667  0.333  0.271
Au  0.667  0.333  0.709

No. 7
The following is a theoretical PXRD pattern of HfCuAu. It was derived from a DFT-relaxed cell (PBE, OQMD), using copper Kα.
Intensities are scaled so that the largest is 100.

Largest 10 diffraction maxima, low angle first, 5 to 70 degrees two-theta:
d_spacing	I (rel.)
8.664	8
3.430	14
2.888	4
2.689	8
2.426	67
2.209	100
1.857	5
1.715	23
1.444	6
1.355	42

Structure:
abc: 3.430 3.430 8.664
angles: 90.00 90.00 90.00
Positions (direct):
Hf  0.000  0.000  0.000
Hf  0.500  0.500  0.500
Cu  0.000  0.000  0.337
Cu  0.000  0.000  0.663
Au  0.500  0.500  0.179
Au  0.500  0.500  0.821

No. 8
The following is a theoretical PXRD pattern of HfCu2Au3. It was derived from a DFT-relaxed cell (PBE, OQMD), using copper Kα.
Intensities are scaled so that the largest is 100.

Largest 10 diffraction maxima, low angle first, 5 to 70 degrees two-theta:
d_spacing	I (rel.)
4.599	5
3.100	25
2.328	58
2.300	6
2.244	100
2.077	3
1.646	20
1.636	8
1.533	7
1.454	6

Structure:
abc: 3.293 3.293 9.198
angles: 90.00 90.00 90.00
Positions (direct):
Hf  0.000  0.000  0.000
Cu  0.000  0.000  0.654
Cu  0.500  0.500  0.169
Au  0.000  0.000  0.313
Au  0.500  0.500  0.504
Au  0.500  0.500  0.816

No. 9
The following is a theoretical PXRD pattern of Ho2CuAu3. It was derived from a DFT-relaxed cell (PBE, OQMD), using copper Kα.
Intensities are scaled so that the largest is 100.

Largest 10 diffraction maxima, low angle first, 5 to 70 degrees two-theta:
d_spacing	I (rel.)
8.927	6
3.697	3
3.415	4
2.847	6
2.614	71
2.318	100
1.848	26
1.550	2
1.488	6
1.445	45

Structure:
abc: 3.697 3.697 8.927
angles: 90.00 90.00 90.00
Positions (direct):
Ho  0.000  0.000  0.000
Ho  0.500  0.500  0.496
Cu  0.500  0.500  0.168
Au  0.000  0.000  0.322
Au  0.000  0.000  0.661
Au  0.500  0.500  0.842

No. 10
The following is a theoretical PXRD pattern of HoSc2Zn3CuAu2. It was derived from a DFT-relaxed cell (PBE, OQMD), using copper Kα.
Intensities are scaled so that the largest is 100.

Largest 10 diffraction maxima, low angle first, 5 to 70 degrees two-theta:
d_spacing	I (rel.)
6.135	42
3.563	27
3.532	35
3.246	36
2.604	100
2.591	40
2.403	37
2.390	74
2.045	35
1.907	34

Structure:
abc: 3.814 7.126 7.126
angles: 120.59 90.00 90.00
Positions (direct):
Ho  0.000  0.000  0.000
Sc  0.000  0.405  0.808
Sc  0.000  0.808  0.405
Zn  0.500  0.170  0.410
Zn  0.500  0.410  0.170
Zn  0.500  0.641  0.641
Cu  0.000  0.411  0.411
Au  0.500  0.074  0.730
Au  0.500  0.730  0.074

No. 11
The following is a theoretical PXRD pattern of Li2In4CuAu. It was derived from a DFT-relaxed cell (PBE, OQMD), using copper Kα.
Intensities are scaled so that the largest is 100.

Largest 10 diffraction maxima, low angle first, 5 to 70 degrees two-theta:
d_spacing	I (rel.)
4.949	73
4.195	67
3.951	60
2.794	76
2.487	47
2.192	100
2.183	79
2.154	44
2.097	41
1.503	27

Structure:
abc: 7.902 5.398 5.398
angles: 47.05 90.00 90.00
Positions (direct):
Li  0.000  0.000  0.000
Li  0.500  0.141  0.141
In  0.189  0.709  0.709
In  0.291  0.429  0.429
In  0.709  0.429  0.429
In  0.811  0.709  0.709
Cu  0.000  0.286  0.286
Au  0.500  0.853  0.853

No. 12
The following is a theoretical PXRD pattern of Sm3In3CuAu2. It was derived from a DFT-relaxed cell (PBE, OQMD), using copper Kα.
Intensities are scaled so that the largest is 100.

Largest 10 diffraction maxima, low angle first, 5 to 70 degrees two-theta:
d_spacing	I (rel.)
2.787	80
2.576	100
2.268	30
2.156	22
1.977	18
1.703	10
1.567	17
1.490	16
1.452	21
1.390	13

Structure:
abc: 7.858 7.858 3.954
angles: 90.00 90.00 120.00
Positions (direct):
Sm  0.000  0.594  0.000
Sm  0.406  0.406  0.000
Sm  0.594  0.000  0.000
In  0.000  0.246  0.500
In  0.246  0.000  0.500
In  0.754  0.754  0.500
Cu  0.000  0.000  0.000
Au  0.333  0.667  0.500
Au  0.667  0.333  0.500

No. 13
The following is a theoretical PXRD pattern of TbTm2In3CuAu2. It was derived from a DFT-relaxed cell (PBE, OQMD), using copper Kα.
Intensities are scaled so that the largest is 100.

Largest 10 diffraction maxima, low angle first, 5 to 70 degrees two-theta:
d_spacing	I (rel.)
2.722	100
2.536	30
2.523	82
2.239	13
2.231	27
2.115	16
1.916	20
1.529	12
1.453	14
1.428	17

Structure:
abc: 3.832 7.747 7.747
angles: 120.24 90.00 90.00
Positions (direct):
Tb  0.000  0.000  0.000
Tm  0.000  0.403  0.804
Tm  0.000  0.804  0.403
In  0.500  0.151  0.404
In  0.500  0.404  0.151
In  0.500  0.655  0.655
Cu  0.000  0.404  0.404
Au  0.500  0.071  0.733
Au  0.500  0.733  0.071

No. 14
The following is a theoretical PXRD pattern of In2CuTe4Au. It was derived from a DFT-relaxed cell (PBE, OQMD), using copper Kα.
Intensities are scaled so that the largest is 100.

Largest 10 diffraction maxima, low angle first, 5 to 70 degrees two-theta:
d_spacing	I (rel.)
5.726	5
3.695	100
2.795	4
2.376	3
2.262	78
1.931	31
1.927	16
1.601	8
1.597	4
1.468	19

Structure:
abc: 7.830 7.830 7.830
angles: 131.72 131.72 70.68
Positions (direct):
In  0.000  0.000  0.000
In  0.750  0.250  0.500
Cu  0.500  0.500  0.000
Te  0.154  0.619  0.013
Te  0.381  0.394  0.535
Te  0.606  0.140  0.987
Te  0.860  0.846  0.465
Au  0.250  0.750  0.500